Calculated powder X-ray diffraction pattern
Compound: Mn3CrNi2P6O24
Radiation: copper Kα
Structure: a DFT-relaxed cell (PBE+U, Alexandria)
Intensities are scaled so that the largest is 100.

Largest 6 diffraction maxima, in order of falling intensity, 10° ≤ 2θ ≤ 90°:
| (hkl) | 2θ/deg | I/Imax |
| --- | --- | --- |
| 2 -1 3 | 24.56 | 100 |
| 1 1 0 | 20.81 | 94 |
| 2 -1 6 | 33.51 | 68 |
| 3 0 0 | 36.46 | 40 |
| 3 -2 8 | 48.07 | 37 |
| 1 4 0 | 57.10 | 27 |

a = 8.5368 Å, b = 8.5368 Å, c = 20.5816 Å
α = 90.00°, β = 90.00°, γ = 120.00°
Space group R3 (No. 146, hexagonal axes)
Unique sites:
Mn 0.0000 0.0000 0.0000 [3 per cell]
Mn 0.0000 0.0000 0.2164 [3 per cell]
Mn 0.0000 0.0000 0.4998 [3 per cell]
Cr 0.0000 0.0000 0.7179 [3 per cell]
Ni 0.0000 0.0000 0.3583 [3 per cell]
Ni 0.0000 0.0000 0.8583 [3 per cell]
P 0.0000 0.2930 0.6075 [9 per cell]
P 0.9996 0.7091 0.1085 [9 per cell]
O 0.0007 0.1976 0.6692 [9 per cell]
O 0.0043 0.2012 0.5445 [9 per cell]
O 0.0079 0.8123 0.1707 [9 per cell]
O 0.0197 0.8354 0.7842 [9 per cell]
O 0.0222 0.1804 0.2813 [9 per cell]
O 0.1409 0.6727 0.7125 [9 per cell]
O 0.1659 0.4889 0.6001 [9 per cell]
O 0.1717 0.6899 0.0997 [9 per cell]